Starting from a DFT-relaxed cell (GGA-PBE, Alexandria), the PXRD pattern of La3DySe6 was computed for Cu Ka.
Peak positions follow from Bragg's law for the DFT cell and can differ from measured ones.

Structural model:
```
La3DySe6
1.0
7.150 0.000 0.000
0.000 7.854 0.000
-6.875 0.000 10.725
La Dy Se
6 2 12
Direct
0.000 0.000 0.000 La
0.000 0.500 0.500 La
0.295 0.098 0.754 La
0.295 0.402 0.254 La
0.705 0.598 0.746 La
0.705 0.902 0.246 La
0.500 0.000 0.500 Dy
0.500 0.500 0.000 Dy
0.103 0.062 0.258 Se
0.103 0.438 0.758 Se
0.263 0.681 0.081 Se
0.263 0.819 0.581 Se
0.409 0.189 0.078 Se
0.409 0.311 0.578 Se
0.591 0.689 0.422 Se
0.591 0.811 0.922 Se
0.737 0.181 0.419 Se
0.737 0.319 0.919 Se
0.897 0.562 0.242 Se
0.897 0.938 0.742 Se
```

Principal peaks in the range 2θ = 5–70°, sorted by position:
d/Å  2θ (°)  I (rel.)
3.801  23.4  98
3.729  23.9  100
2.643  33.9  88
2.459  36.5  62
2.118  42.7  71
2.080  43.5  61